(1)
Structure and theoretical X-ray diffraction stick pattern of Li4H6Os (DFT lattice parameters and positions (PBE); λ = 1.5418 Å (Cu Kα)).

Crystal structure
```
22
Lattice="4.1469 -2.3924 0.0000 4.1469 2.3924 0.0000 -2.7957 0.0000 9.3761" Properties=species:S:1:pos:R:3 pbc="T T T"
Li -0.0314 1.1893 8.9024
Li 2.7490 1.2031 4.6880
Li 2.7396 1.1961 7.2286
Li 5.5218 1.1923 1.6745
Li 1.3664 -1.1893 4.2144
Li 4.1469 -1.2031 0.0000
Li 4.1375 -1.1961 2.5405
Li 4.1239 -1.1923 6.3625
H 1.4793 0.6564 1.0879
H 4.0328 1.7322 3.1275
H 0.0815 -0.6564 5.7760
H 1.1833 0.1746 7.8232
H 3.8569 0.3487 1.0914
H 2.5812 -0.1746 3.1352
H 2.4591 -0.3487 5.7794
H 4.4042 0.3526 7.8126
H 7.0790 0.1710 1.0803
H 5.8020 -0.3526 3.1246
H 5.6812 -0.1710 5.7683
H 2.6350 -1.7322 7.8155
Os 2.7559 1.1946 2.1077
Os 1.3581 -1.1946 6.7957
```

Peak list (12 most intense, 2θ = 10–90°, by intensity)
2θ = 22.4°, rel. 100; 2θ = 24.9°, rel. 70; 2θ = 18.9°, rel. 50; 2θ = 33.4°, rel. 33; 2θ = 37.6°, rel. 32; 2θ = 42.4°, rel. 25; 2θ = 38.7°, rel. 19; 2θ = 44.2°, rel. 16; 2θ = 45.6°, rel. 14; 2θ = 54.9°, rel. 14; 2θ = 59.4°, rel. 14; 2θ = 42.4°, rel. 13

=====

(2)
Structure and theoretical X-ray diffraction stick pattern of LiH8Os2 (DFT lattice parameters and positions (PBE); λ = 1.5418 Å (Cu Kα)).

Crystal structure
```
11
Lattice="2.8644 -4.0779 0.0000 2.8644 4.0779 0.0000 -0.0721 0.0000 3.1601" Properties=species:S:1:pos:R:3 pbc="T T T"
Li 0.0000 0.0000 0.0000
H 1.8257 2.2551 3.1367
H 3.1240 2.9405 1.6020
H 1.7788 0.0000 0.6474
H 2.7091 0.0000 2.2383
H 3.8304 1.1272 1.4950
H 1.8257 -2.2551 3.1367
H 3.8304 -1.1272 1.4950
H 3.1240 -2.9405 1.6020
Os 2.0268 1.5295 1.5472
Os 2.0268 -1.5295 1.5472
```

Peak list (12 most intense, 2θ = 10–90°, by intensity)
2θ = 28.2°, rel. 100; 2θ = 21.8°, rel. 92; 2θ = 36.6°, rel. 87; 2θ = 31.2°, rel. 78; 2θ = 18.9°, rel. 74; 2θ = 36.0°, rel. 55; 2θ = 38.4°, rel. 46; 2θ = 46.6°, rel. 43; 2θ = 47.1°, rel. 43; 2θ = 42.1°, rel. 34; 2θ = 43.1°, rel. 32; 2θ = 47.9°, rel. 23

=====

(3)
Structure and theoretical X-ray diffraction stick pattern of LiSm2H6Os (DFT lattice parameters and positions (PBE); λ = 1.5418 Å (Cu Kα)).

Crystal structure
```
10
Lattice="4.7390 0.0000 0.0000 -2.3695 4.1041 0.0000 0.0000 0.0000 6.4303" Properties=species:S:1:pos:R:3 pbc="T T T"
Li 0.0000 0.0000 0.0000
Sm 0.0000 2.7360 4.6218
Sm 2.3695 1.3680 1.8085
H 0.0000 1.3944 2.1881
H -1.1619 3.4069 2.1881
H 1.2076 0.6972 4.2422
H 1.1619 3.4069 2.1881
H 3.5314 0.6972 4.2422
H 2.3695 2.7096 4.2422
Os 0.0000 0.0000 3.2151
```

Peak list (12 most intense, 2θ = 10–90°, by intensity)
2θ = 25.8°, rel. 100; 2θ = 35.5°, rel. 59; 2θ = 38.0°, rel. 50; 2θ = 13.8°, rel. 49; 2θ = 47.9°, rel. 25; 2θ = 46.5°, rel. 21; 2θ = 40.6°, rel. 20; 2θ = 52.9°, rel. 19; 2θ = 67.0°, rel. 19; 2θ = 61.5°, rel. 18; 2θ = 75.7°, rel. 13; 2θ = 62.7°, rel. 11

=====

(4)
Structure and theoretical X-ray diffraction stick pattern of LiPH6 (DFT lattice parameters and positions (PBE); λ = 1.5418 Å (Cu Kα)).

Crystal structure
```
16
Lattice="4.3674 0.0000 0.0000 0.0000 6.9831 0.0000 -1.0342 0.0000 4.0238" Properties=species:S:1:pos:R:3 pbc="T T T"
Li 0.0000 0.0000 0.0000
Li 2.1837 3.4916 0.0000
P -0.5171 3.4916 2.0119
P 1.6666 0.0000 2.0119
H 0.0791 2.4119 2.8642
H 0.0791 4.5713 2.8642
H 0.7033 3.4916 1.1545
H 0.4462 0.0000 2.8692
H 1.0703 1.0797 1.1596
H 1.0703 5.9034 1.1596
H 2.2628 1.0797 2.8642
H 2.2628 5.9034 2.8642
H 2.8870 0.0000 1.1545
H 2.6299 3.4916 2.8692
H 3.2540 2.4119 1.1596
H 3.2540 4.5713 1.1596
```

Peak list (12 most intense, 2θ = 10–90°, by intensity)
2θ = 29.5°, rel. 100; 2θ = 24.6°, rel. 97; 2θ = 25.5°, rel. 77; 2θ = 22.1°, rel. 68; 2θ = 36.8°, rel. 51; 2θ = 34.0°, rel. 33; 2θ = 52.5°, rel. 24; 2θ = 52.7°, rel. 21; 2θ = 50.4°, rel. 18; 2θ = 47.5°, rel. 16; 2θ = 44.4°, rel. 12; 2θ = 42.8°, rel. 11

=====

(5)
Structure and theoretical X-ray diffraction stick pattern of LiP2HRu (DFT lattice parameters and positions (PBE); λ = 1.5418 Å (Cu Kα)).

Crystal structure
```
5
Lattice="4.4925 0.0000 0.0000 0.0000 4.4925 0.0000 0.0000 0.0000 2.8765" Properties=species:S:1:pos:R:3 pbc="T T T"
Li 0.0000 0.0000 0.0000
P 0.0000 2.2462 0.0000
P 2.2462 0.0000 0.0000
H 0.0000 0.0000 1.4382
Ru 2.2462 2.2462 1.4382
```

Peak list (12 most intense, 2θ = 10–90°, by intensity)
2θ = 19.8°, rel. 100; 2θ = 42.4°, rel. 74; 2θ = 40.1°, rel. 49; 2θ = 37.1°, rel. 49; 2θ = 55.8°, rel. 30; 2θ = 74.5°, rel. 27; 2θ = 45.1°, rel. 23; 2θ = 58.1°, rel. 16; 2θ = 79.1°, rel. 13; 2θ = 28.1°, rel. 10; 2θ = 84.8°, rel. 9; 2θ = 82.5°, rel. 8

=====

(6)
Structure and theoretical X-ray diffraction stick pattern of Li3PaH12Pt4 (DFT lattice parameters and positions (PBE); λ = 1.5418 Å (Cu Kα)).

Crystal structure
```
20
Lattice="4.1350 2.3874 3.2249 -4.1350 2.3874 3.2249 0.0000 -4.7747 3.2249" Properties=species:S:1:pos:R:3 pbc="T T T"
Li -2.4185 -0.5858 3.2249
Li -2.4185 0.5857 6.4498
Li 0.7020 2.3874 3.2249
Pa 0.0000 0.0000 0.0000
H -1.0961 -0.7716 1.9299
H -3.7053 0.0000 4.8373
H -0.1202 1.3350 1.9299
H -1.6225 0.0000 4.8373
H 1.2163 -0.5634 1.9299
H 1.8526 -3.2089 4.8373
H 0.8113 -1.4051 4.8373
H -0.1202 -1.3350 7.7448
H 0.8113 1.4051 4.8373
H -1.0961 0.7716 7.7448
H 1.8526 3.2089 4.8373
H 1.2163 0.5634 7.7447
Pt -1.4770 -2.5582 4.8373
Pt 0.0000 0.0000 4.8373
Pt -1.4770 2.5583 4.8373
Pt 2.9540 0.0000 4.8373
```

Peak list (12 most intense, 2θ = 10–90°, by intensity)
2θ = 21.5°, rel. 100; 2θ = 37.7°, rel. 92; 2θ = 35.3°, rel. 82; 2θ = 22.2°, rel. 50; 2θ = 31.1°, rel. 48; 2θ = 38.1°, rel. 38; 2θ = 70.5°, rel. 31; 2θ = 47.4°, rel. 26; 2θ = 52.6°, rel. 24; 2θ = 27.7°, rel. 22; 2θ = 59.4°, rel. 20; 2θ = 66.5°, rel. 20